Record 1
Starting from a cell relaxed with GGA-PBE, the PXRD pattern of NaPtF6 was computed for Cu Kα.

Principal peaks in the range 2θ = 15–90°, most intense first:
- hkl 1 0 1, 26.2 deg, intensity 100
- hkl 1 0 0, 19.3 deg, intensity 94
- hkl 0 0 1, 17.6 deg, intensity 35
- hkl 2 -1 1, 38.4 deg, intensity 29
- hkl 2 -1 2, 49.9 deg, intensity 28
- hkl 2 0 1, 43.3 deg, intensity 25

Crystal structure
```
data_NaPtF6
_chemical_formula_sum 'Na1 Pt1 F6'
_space_group_name_H-M_alt 'P 3 1 2'
_space_group_IT_number 149
_cell_length_a 5.2989
_cell_length_b 5.2989
_cell_length_c 5.0459
_cell_angle_alpha 90.00
_cell_angle_beta 90.00
_cell_angle_gamma 120.00
loop_
_space_group_symop_operation_xyz
'x,y,z'
'-y,x-y,z'
'-x+y,-x,z'
'-y,-x,-z'
'-x+y,y,-z'
'x,x-y,-z'
loop_
_atom_site_label
_atom_site_fract_x
_atom_site_fract_y
_atom_site_fract_z
_atom_site_occupancy
Na1 0.0000 0.0000 0.0000 1
Pt1 0.6667 0.3333 0.5000 1
F1 0.3714 0.0372 0.7231 1
```



Record 2
Starting from a cell relaxed with GGA-PBE, the PXRD pattern of La3Zn2Rh6 was computed for Cu Kα.

Principal peaks in the range 2θ = 15–90°, most intense first:
- hkl 3 3 0, 40.1 deg, intensity 100
- hkl 6 3 3, 72.9 deg, intensity 27
- hkl 3 2 1, 35.2 deg, intensity 23
- hkl 2 2 2, 32.5 deg, intensity 19
- hkl 3 1 0, 29.6 deg, intensity 13
- hkl 7 4 1, 82.1 deg, intensity 11

Crystal structure
```
data_La3Zn2Rh6
_chemical_formula_sum 'La12 Zn8 Rh24'
_space_group_name_H-M_alt 'I m -3 m'
_space_group_IT_number 229
_space_group_name_Hall '-I 4 2 3'
_cell_length_a 9.5326
_cell_length_b 9.5326
_cell_length_c 9.5326
_cell_angle_alpha 90.00
_cell_angle_beta 90.00
_cell_angle_gamma 90.00
loop_
_atom_site_label
_atom_site_fract_x
_atom_site_fract_y
_atom_site_fract_z
_atom_site_occupancy
La1 0.0000 0.0000 0.2951 1
Zn1 0.2500 0.2500 0.2500 1
Rh1 0.0000 0.3449 0.3449 1
```



Record 3
Starting from a cell relaxed with GGA-PBE, the PXRD pattern of Tb3YTl4S8 was computed for Cu Kα.

Principal peaks in the range 2θ = 15–90°, most intense first:
- hkl 0 2 4, 30.0 deg, intensity 100
- hkl 2 0 2, 26.6 deg, intensity 62
- hkl 2 0 8, 41.1 deg, intensity 39
- hkl 2 2 0, 44.8 deg, intensity 34
- hkl 0 0 6, 23.7 deg, intensity 30
- hkl 2 2 6, 51.3 deg, intensity 24

Crystal structure
```
data_Tb3YTl4S8
_chemical_formula_sum 'Tb9 Y3 Tl12 S24'
_space_group_name_H-M_alt 'R -3 m'
_space_group_IT_number 166
_space_group_name_Hall '-R 3 2"'
_cell_length_a 8.0948
_cell_length_b 8.0948
_cell_length_c 22.5518
_cell_angle_alpha 90.00
_cell_angle_beta 90.00
_cell_angle_gamma 120.00
loop_
_atom_site_label
_atom_site_fract_x
_atom_site_fract_y
_atom_site_fract_z
_atom_site_occupancy
Tb1 0.0000 0.5000 0.0000 1
Y1 0.0000 0.0000 0.0000 1
Tl1 0.0000 0.0000 0.5000 1
Tl2 0.0000 0.5000 0.5000 1
S1 0.0000 0.0000 0.2671 1
S2 0.0007 0.5003 0.7329 1
```



Record 4
Starting from a cell relaxed with GGA-PBE, the PXRD pattern of CaPu3Te4 was computed for Cu Kα.

Principal peaks in the range 2θ = 15–90°, most intense first:
- hkl 2 0 1, 28.3 deg, intensity 100
- hkl 4 0 0, 40.4 deg, intensity 64
- hkl 6 0 1, 66.2 deg, intensity 30
- hkl 4 4 0, 50.0 deg, intensity 28
- hkl 6 4 1, 73.4 deg, intensity 14
- hkl 2 4 3, 73.5 deg, intensity 13

Crystal structure
```
data_CaPu3Te4
_chemical_formula_sum 'Ca2 Pu6 Te8'
_space_group_name_H-M_alt 'C m m m'
_space_group_IT_number 65
_space_group_name_Hall '-C 2 2'
_cell_length_a 8.9410
_cell_length_b 12.6296
_cell_length_c 4.4581
_cell_angle_alpha 90.00
_cell_angle_beta 90.00
_cell_angle_gamma 90.00
loop_
_atom_site_label
_atom_site_fract_x
_atom_site_fract_y
_atom_site_fract_z
_atom_site_occupancy
Ca1 0.0000 0.0000 0.0000 1
Pu1 0.0000 0.5000 0.0000 1
Pu2 0.2500 0.2500 0.5000 1
Te1 0.0000 0.2508 0.0000 1
Te2 0.2492 0.5000 0.5000 1
```



Record 5
Starting from a cell relaxed with GGA-PBE, the PXRD pattern of Ba2InSnS6 was computed for Cu Kα.

Principal peaks in the range 2θ = 15–90°, most intense first:
- hkl 1 1 1, 24.7 deg, intensity 100
- hkl 1 1 -3, 24.8 deg, intensity 72
- hkl 2 2 -2, 35.6 deg, intensity 45
- hkl 2 0 -2, 25.2 deg, intensity 40
- hkl 0 0 4, 34.9 deg, intensity 39
- hkl 2 0 2, 43.4 deg, intensity 23

Crystal structure
```
data_Ba2InSnS6
_chemical_formula_sum 'Ba4 In2 Sn2 S12'
_space_group_name_H-M_alt 'P 1 21/c 1'
_space_group_IT_number 14
_cell_length_a 7.0647
_cell_length_b 7.2221
_cell_length_c 12.4300
_cell_angle_alpha 90.00
_cell_angle_beta 124.27
_cell_angle_gamma 90.00
loop_
_space_group_symop_operation_xyz
'x,y,z'
'-x,-y,-z'
'-x,y+1/2,-z+1/2'
'x,-y+1/2,z+1/2'
loop_
_atom_site_label
_atom_site_fract_x
_atom_site_fract_y
_atom_site_fract_z
_atom_site_occupancy
Ba1 0.2278 0.0789 0.2497 1
In1 0.0000 0.0000 0.5000 1
Sn1 0.5000 0.0000 0.0000 1
S1 0.1609 0.1927 0.9592 1
S2 0.2653 0.6977 0.9619 1
S3 0.3269 0.5180 0.2535 1
```



Record 6
Starting from a cell relaxed with GGA-PBE, the PXRD pattern of Cs2TbCrS4 was computed for Cu Kα.

Principal peaks in the range 2θ = 15–90°, most intense first:
- hkl 0 2 6, 24.2 deg, intensity 100
- hkl 1 3 5, 29.0 deg, intensity 66
- hkl 2 2 0, 30.3 deg, intensity 54
- hkl 2 0 6, 34.8 deg, intensity 47
- hkl 1 1 1, 15.4 deg, intensity 41
- hkl 2 4 6, 43.2 deg, intensity 41

Crystal structure
```
data_Cs2TbCrS4
_chemical_formula_sum 'Cs16 Tb8 Cr8 S32'
_space_group_name_H-M_alt 'F d d d'
_space_group_IT_number 70
_cell_length_a 6.4621
_cell_length_b 14.3238
_cell_length_c 25.7366
_cell_angle_alpha 90.00
_cell_angle_beta 90.00
_cell_angle_gamma 90.00
loop_
_space_group_symop_operation_xyz
'x,y,z'
'-x,-y,-z'
'-x+1/4,-y+1/4,z'
'x+1/4,y+1/4,-z'
'x,-y+1/4,-z+1/4'
'-x,y+1/4,z+1/4'
'-x+1/4,y,-z+1/4'
'x+1/4,-y,z+1/4'
'x,y+1/2,z+1/2'
'-x,-y+1/2,-z+1/2'
'-x+1/4,-y+3/4,z+1/2'
'x+1/4,y+3/4,-z+1/2'
'x,-y+3/4,-z+3/4'
'-x,y+3/4,z+3/4'
'-x+1/4,y+1/2,-z+3/4'
'x+1/4,-y+1/2,z+3/4'
'x+1/2,y,z+1/2'
'-x+1/2,-y,-z+1/2'
'-x+3/4,-y+1/4,z+1/2'
'x+3/4,y+1/4,-z+1/2'
'x+1/2,-y+1/4,-z+3/4'
'-x+1/2,y+1/4,z+3/4'
'-x+3/4,y,-z+3/4'
'x+3/4,-y,z+3/4'
'x+1/2,y+1/2,z'
'-x+1/2,-y+1/2,-z'
'-x+3/4,-y+3/4,z'
'x+3/4,y+3/4,-z'
'x+1/2,-y+3/4,-z+1/4'
'-x+1/2,y+3/4,z+1/4'
'-x+3/4,y+1/2,-z+1/4'
'x+3/4,-y+1/2,z+1/4'
loop_
_atom_site_label
_atom_site_fract_x
_atom_site_fract_y
_atom_site_fract_z
_atom_site_occupancy
Cs1 0.1250 0.1250 0.3040 1
Tb1 0.1250 0.1250 0.1250 1
Cr1 0.1250 0.1250 0.6250 1
S1 0.0903 0.2829 0.8268 1
```



Record 7
Starting from a cell relaxed with GGA-PBE, the PXRD pattern of BaTiGe2Mo was computed for Cu Kα.

Principal peaks in the range 2θ = 15–90°, most intense first:
- hkl 2 0 0, 33.1 deg, intensity 100
- hkl 1 0 1, 24.1 deg, intensity 81
- hkl 2 0 2, 49.3 deg, intensity 63
- hkl 1 1 1, 29.3 deg, intensity 42
- hkl 0 0 2, 35.5 deg, intensity 41
- hkl 2 1 1, 41.4 deg, intensity 39

Crystal structure
```
data_BaTiGe2Mo
_chemical_formula_sum 'Ba1 Ti1 Ge2 Mo1'
_space_group_name_H-M_alt 'P 4/m m m'
_space_group_IT_number 123
_space_group_name_Hall '-P 4 2'
_cell_length_a 5.4130
_cell_length_b 5.4130
_cell_length_c 5.0535
_cell_angle_alpha 90.00
_cell_angle_beta 90.00
_cell_angle_gamma 90.00
loop_
_atom_site_label
_atom_site_fract_x
_atom_site_fract_y
_atom_site_fract_z
_atom_site_occupancy
Ba1 0.0000 0.0000 0.0000 1
Ti1 0.0000 0.0000 0.5000 1
Ge1 0.0000 0.5000 0.0000 1
Mo1 0.5000 0.5000 0.5000 1
```



Record 8
Starting from a cell relaxed with GGA-PBE, the PXRD pattern of Sm2Sc2Hg3 was computed for Cu Kα.

Principal peaks in the range 2θ = 15–90°, most intense first:
- hkl 1 1 1, 34.7 deg, intensity 100
- hkl 1 7 0, 33.4 deg, intensity 95
- hkl 0 6 1, 31.7 deg, intensity 75
- hkl 1 13 1, 56.7 deg, intensity 33
- hkl 0 8 1, 36.4 deg, intensity 32
- hkl 1 7 2, 61.8 deg, intensity 32

Crystal structure
```
data_Sm2Sc2Hg3
_chemical_formula_sum 'Sm4 Sc4 Hg6'
_space_group_name_H-M_alt 'C m m m'
_space_group_IT_number 65
_space_group_name_Hall '-C 2 2'
_cell_length_a 3.7307
_cell_length_b 27.0459
_cell_length_c 3.6186
_cell_angle_alpha 90.00
_cell_angle_beta 90.00
_cell_angle_gamma 90.00
loop_
_atom_site_label
_atom_site_fract_x
_atom_site_fract_y
_atom_site_fract_z
_atom_site_occupancy
Sm1 0.0000 0.0732 0.0000 1
Sc1 0.0000 0.2027 0.0000 1
Hg1 0.0000 0.3489 0.5000 1
Hg2 0.0000 0.5000 0.5000 1
```



Record 9
Starting from a cell relaxed with GGA-PBE, the PXRD pattern of K4Nb8SiP4O34 was computed for Cu Kα.

Principal peaks in the range 2θ = 15–90°, most intense first:
- hkl 3 0 0, 24.8 deg, intensity 100
- hkl 2 0 1, 21.4 deg, intensity 48
- hkl 1 0 1, 15.9 deg, intensity 44
- hkl 3 0 1, 28.4 deg, intensity 33
- hkl 6 0 0, 50.8 deg, intensity 27
- hkl 3 2 1, 33.0 deg, intensity 26

Crystal structure
```
data_K4Nb8SiP4O34
_chemical_formula_sum 'K4 Nb8 Si1 P4 O34'
_space_group_name_H-M_alt 'P -4 m 2'
_space_group_IT_number 115
_cell_length_a 10.7798
_cell_length_b 10.7798
_cell_length_c 6.5263
_cell_angle_alpha 90.00
_cell_angle_beta 90.00
_cell_angle_gamma 90.00
loop_
_space_group_symop_operation_xyz
'x,y,z'
'y,-x,-z'
'-x,-y,z'
'-y,x,-z'
'-x,y,z'
'-y,-x,-z'
'x,-y,z'
'y,x,-z'
loop_
_atom_site_label
_atom_site_fract_x
_atom_site_fract_y
_atom_site_fract_z
_atom_site_occupancy
K1 0.0000 0.0000 0.0000 1
K2 0.0000 0.5000 0.2019 1
K3 0.5000 0.5000 0.0000 1
Nb1 0.1781 0.1781 0.5000 1
Nb2 0.1867 0.5000 0.7030 1
Si1 0.5000 0.5000 0.5000 1
P1 0.2402 0.2402 0.0000 1
O1 0.0000 0.1754 0.5262 1
O2 0.0000 0.5000 0.7543 1
O3 0.1614 0.1961 0.1868 1
O4 0.1722 0.3630 0.5224 1
O5 0.2144 0.3781 0.9600 1
O6 0.3745 0.5000 0.6486 1
```



Record 10
Starting from a cell relaxed with GGA-PBE, the PXRD pattern of InHg3I3 was computed for Cu Kα.

Principal peaks in the range 2θ = 15–90°, most intense first:
- hkl 0 2 1, 28.6 deg, intensity 100
- hkl 2 -1 0, 20.8 deg, intensity 94
- hkl -1 2 1, 25.5 deg, intensity 87
- hkl 1 -1 2, 23.2 deg, intensity 73
- hkl 2 1 -3, 34.7 deg, intensity 58
- hkl -3 3 1, 39.4 deg, intensity 56

Crystal structure
```
data_InHg3I3
_chemical_formula_sum 'In2 Hg6 I6'
_space_group_name_H-M_alt 'P -1'
_space_group_IT_number 2
_cell_length_a 8.6497
_cell_length_b 9.0801
_cell_length_c 9.3182
_cell_angle_alpha 107.61
_cell_angle_beta 98.19
_cell_angle_gamma 111.55
loop_
_space_group_symop_operation_xyz
'x,y,z'
'-x,-y,-z'
loop_
_atom_site_label
_atom_site_fract_x
_atom_site_fract_y
_atom_site_fract_z
_atom_site_occupancy
In1 0.1633 0.2116 0.3525 1
Hg1 0.1676 0.3909 0.0802 1
Hg2 0.3269 0.7425 0.3287 1
Hg3 0.4633 0.0746 0.8018 1
I1 0.0064 0.7917 0.3272 1
I2 0.2232 0.9749 0.9676 1
I3 0.3785 0.6636 0.5991 1
```



Record 11
Starting from a cell relaxed with GGA-PBE, the PXRD pattern of Ac2Tl4Sn was computed for Cu Kα.

Principal peaks in the range 2θ = 15–90°, most intense first:
- hkl 0 2 2, 32.8 deg, intensity 100
- hkl 4 0 2, 31.7 deg, intensity 65
- hkl 0 0 4, 30.2 deg, intensity 62
- hkl 3 1 1, 26.5 deg, intensity 53
- hkl 4 2 4, 51.5 deg, intensity 34
- hkl 4 2 0, 40.6 deg, intensity 34

Crystal structure
```
data_Ac2Tl4Sn
_chemical_formula_sum 'Ac8 Tl16 Sn4'
_space_group_name_H-M_alt 'C m c e'
_space_group_IT_number 64
_space_group_name_Hall '-C 2ac 2'
_cell_length_a 12.8442
_cell_length_b 6.1477
_cell_length_c 11.8323
_cell_angle_alpha 90.00
_cell_angle_beta 90.00
_cell_angle_gamma 90.00
loop_
_atom_site_label
_atom_site_fract_x
_atom_site_fract_y
_atom_site_fract_z
_atom_site_occupancy
Ac1 0.1473 0.0000 0.0000 1
Tl1 0.0000 0.2413 0.2497 1
Tl2 0.2500 0.2470 0.7500 1
Sn1 0.0000 0.0000 0.5000 1
```



Record 12
Starting from a cell relaxed with GGA-PBE, the PXRD pattern of ErB4Ir2Rh2 was computed for Cu Kα.

Principal peaks in the range 2θ = 15–90°, most intense first:
- hkl 2 0 1, 35.6 deg, intensity 100
- hkl 2 1 1, 39.5 deg, intensity 92
- hkl 1 0 3, 40.0 deg, intensity 69
- hkl 1 0 2, 29.2 deg, intensity 54
- hkl 2 1 2, 44.9 deg, intensity 41
- hkl 2 2 4, 70.9 deg, intensity 31

Crystal structure
```
data_ErB4Ir2Rh2
_chemical_formula_sum 'Er2 B8 Ir4 Rh4'
_space_group_name_H-M_alt 'P 42 m c'
_space_group_IT_number 105
_cell_length_a 5.3637
_cell_length_b 5.3637
_cell_length_c 7.4517
_cell_angle_alpha 90.00
_cell_angle_beta 90.00
_cell_angle_gamma 90.00
loop_
_space_group_symop_operation_xyz
'x,y,z'
'-y,x,z+1/2'
'-x,-y,z'
'y,-x,z+1/2'
'-x,y,z'
'y,x,z+1/2'
'x,-y,z'
'-y,-x,z+1/2'
loop_
_atom_site_label
_atom_site_fract_x
_atom_site_fract_y
_atom_site_fract_z
_atom_site_occupancy
Er1 0.0000 0.5000 0.0000 1
B1 0.0000 0.1698 0.3530 1
B2 0.3289 0.5000 0.6542 1
Ir1 0.2482 0.5000 0.3566 1
Rh1 0.0000 0.2507 0.6476 1
```